This entry pairs a crystal structure of Li2Sb3Pd8 with its theoretical XRD peak list. Radiation: λ = 1.5418 Å (Cu Kα). Structure: a cell relaxed with PBE.
Lines closer than 0.1° are merged.

The 8 most intense peaks (2θ = 15–90°), sorted by position:
- 2θ 28.5, I = 31, hkl 0 0 9
- 2θ 29.4, I = 41, hkl 1 0 7
- 2θ 37.4, I = 31, hkl 1 0 10
- 2θ 39.4, I = 100, hkl 2 0 2
- 2θ 40.2, I = 53, hkl 0 1 11
- 2θ 41.0, I = 76, hkl 0 2 4
- 2θ 42.1, I = 44, hkl 2 0 5
- 2θ 70.3, I = 35, hkl 2 2 0

Atomic structure:
```
data_Li2Sb3Pd8
_chemical_formula_sum 'Li6 Sb9 Pd24'
_cell_length_a 5.3561
_cell_length_b 5.3561
_cell_length_c 28.1597
_cell_angle_alpha 90.00
_cell_angle_beta 90.00
_cell_angle_gamma 120.00
_space_group_name_H-M_alt 'R -3 m'
_space_group_IT_number 166
_space_group_name_Hall '-R 3 2"'
loop_
_atom_site_label
_atom_site_type_symbol
_atom_site_fract_x
_atom_site_fract_y
_atom_site_fract_z
Li1 Li 0.0000 0.0000 0.1303
Sb1 Sb 0.0000 0.0000 0.3065
Sb2 Sb 0.0000 0.0000 0.5000
Pd1 Pd 0.0000 0.0000 0.2156
Pd2 Pd 0.0011 0.5005 0.2758
```

---

This entry pairs a crystal structure of LiSnSb2Pd4 with its theoretical XRD peak list. Radiation: λ = 1.5418 Å (Cu Kα). Structure: a cell relaxed with PBE.
Lines closer than 0.1° are merged.

The 8 most intense peaks (2θ = 15–90°), sorted by position:
- 2θ 32.1, I = 14, hkl 0 0 4
- 2θ 35.4, I = 100, hkl 2 2 0
- 2θ 39.5, I = 60, hkl 0 2 4
- 2θ 42.5, I = 48, hkl 2 0 4
- 2θ 45.8, I = 24, hkl 0 4 0
- 2θ 48.6, I = 18, hkl 2 2 4
- 2θ 64.2, I = 28, hkl 2 4 4
- 2θ 70.4, I = 20, hkl 4 2 4

Atomic structure:
```
data_LiSnSb2Pd4
_chemical_formula_sum 'Li4 Sn4 Sb8 Pd16'
_cell_length_a 6.602
_cell_length_b 7.931
_cell_length_c 11.137
_cell_angle_alpha 90.00
_cell_angle_beta 90.00
_cell_angle_gamma 90.00
_space_group_name_H-M_alt 'I m m 2'
_space_group_IT_number 44
_space_group_name_Hall 'I 2 -2'
loop_
_atom_site_label
_atom_site_type_symbol
_atom_site_fract_x
_atom_site_fract_y
_atom_site_fract_z
Li1 Li 0.000 0.248 0.000
Sn1 Sn 0.241 0.500 0.162
Sb1 Sb 0.000 0.245 0.491
Sb2 Sb 0.240 0.000 0.163
Pd1 Pd 0.000 0.248 0.254
Pd2 Pd 0.000 0.251 0.755
Pd3 Pd 0.235 0.500 0.909
Pd4 Pd 0.241 0.000 0.908
```

---

What did the first record say?
This entry pairs a crystal structure of Li2Sb3Pd8 with its theoretical XRD peak list. Radiation: λ = 1.5418 Å (Cu Kα). Structure: a cell relaxed with PBE.
Lines closer than 0.1° are merged.

The 8 most intense peaks (2θ = 15–90°), sorted by position:
- 2θ 28.5, I = 31, hkl 0 0 9
- 2θ 29.4, I = 41, hkl 1 0 7
- 2θ 37.4, I = 31, hkl 1 0 10
- 2θ 39.4, I = 100, hkl 2 0 2
- 2θ 40.2, I = 53, hkl 0 1 11
- 2θ 41.0, I = 76, hkl 0 2 4
- 2θ 42.1, I = 44, hkl 2 0 5
- 2θ 70.3, I = 35, hkl 2 2 0

Atomic structure:
```
data_Li2Sb3Pd8
_chemical_formula_sum 'Li6 Sb9 Pd24'
_cell_length_a 5.3561
_cell_length_b 5.3561
_cell_length_c 28.1597
_cell_angle_alpha 90.00
_cell_angle_beta 90.00
_cell_angle_gamma 120.00
_space_group_name_H-M_alt 'R -3 m'
_space_group_IT_number 166
_space_group_name_Hall '-R 3 2"'
loop_
_atom_site_label
_atom_site_type_symbol
_atom_site_fract_x
_atom_site_fract_y
_atom_site_fract_z
Li1 Li 0.0000 0.0000 0.1303
Sb1 Sb 0.0000 0.0000 0.3065
Sb2 Sb 0.0000 0.0000 0.5000
Pd1 Pd 0.0000 0.0000 0.2156
Pd2 Pd 0.0011 0.5005 0.2758
```